# BaSc2V2O7
Computed XRD peak list, Cu Kα (λ = 1.5418 Å). Input: the PBE+U geometry in Alexandria.

Top 10 peaks for 2θ from 15° to 90°, in order of rising 2θ:
2θ (°)	I (rel.)
26.02	48
26.56	55
31.60	100
33.74	37
34.16	28
41.81	43
42.96	38
43.23	40
61.70	24
62.58	22

```
BaSc2V2O7
1.0
-2.0930 8.4221 2.1606
2.0930 -8.4221 2.1606
2.0930 8.4221 -2.1606
Ba Sc V O
1 2 2 7
Direct
0.0000 0.0000 0.0000
0.2344 0.4905 0.7439
0.7466 0.4905 0.2561
0.3776 0.9910 0.3865
0.6045 0.9910 0.6135
0.1173 0.4936 0.6237
0.2523 0.9912 0.2611
0.3617 0.4905 0.8712
0.5144 0.0144 0.5000
0.6193 0.4905 0.1288
0.7300 0.9912 0.7389
0.8698 0.4936 0.3763
```